# 1
Computed powder X-ray diffraction pattern
Compound: Ce7Pu2Pt2
Radiation: Cu Kα (λ = 1.5418 Å)
Structure: a crystal structure in Alexandria, relaxed with PBE
No peak broadening, texture or thermal motion is included.

Structure:
```
data_Ce7Pu2Pt2
_space_group_name_H-M_alt 'P 1'
_space_group_IT_number 1
_cell_length_a 5.890
_cell_length_b 5.890
_cell_length_c 8.653
_cell_angle_alpha 96.40
_cell_angle_beta 96.40
_cell_angle_gamma 115.44
loop_
_space_group_symop_operation_xyz
'x,y,z'
loop_
_atom_site_label
_atom_site_type_symbol
_atom_site_fract_x
_atom_site_fract_y
_atom_site_fract_z
Ce1 Ce 0.000 0.000 0.000
Ce2 Ce 0.115 0.722 0.467
Ce3 Ce 0.357 0.686 0.106
Ce4 Ce 0.377 0.377 0.718
Ce5 Ce 0.686 0.357 0.106
Ce6 Ce 0.722 0.115 0.467
Ce7 Ce 0.793 0.793 0.666
Pu1 Pu 0.057 0.057 0.312
Pu2 Pu 0.452 0.452 0.336
Pt1 Pt 0.393 0.927 0.818
Pt2 Pt 0.927 0.393 0.818
```

The 12 most intense peaks (10 to 90 degrees two-theta), low angle first:
Position (°2θ), d/Å, I/Imax
20.7, 4.292, 36
29.0, 3.076, 19
29.4, 3.038, 24
31.4, 2.850, 66
33.0, 2.715, 53
34.0, 2.636, 38
36.1, 2.490, 33
36.6, 2.454, 100
37.0, 2.427, 59
42.1, 2.146, 23
52.4, 1.745, 19
63.7, 1.460, 20

=====

# 2
Computed powder X-ray diffraction pattern
Compound: Pr3FeB7
Radiation: Cu Kα (λ = 1.5418 Å)
Structure: a crystal structure in Alexandria, relaxed with PBE
No peak broadening, texture or thermal motion is included.

Structure:
```
data_Pr3FeB7
_space_group_name_H-M_alt 'P 1'
_space_group_IT_number 1
_cell_length_a 8.303
_cell_length_b 8.303
_cell_length_c 9.985
_cell_angle_alpha 90.00
_cell_angle_beta 90.00
_cell_angle_gamma 155.75
loop_
_space_group_symop_operation_xyz
'x,y,z'
loop_
_atom_site_label
_atom_site_type_symbol
_atom_site_fract_x
_atom_site_fract_y
_atom_site_fract_z
Pr1 Pr 0.099 0.901 0.554
Pr2 Pr 0.099 0.901 0.946
Pr3 Pr 0.252 0.748 0.250
Pr4 Pr 0.748 0.252 0.750
Pr5 Pr 0.901 0.099 0.054
Pr6 Pr 0.901 0.099 0.446
Fe1 Fe 0.063 0.937 0.250
Fe2 Fe 0.937 0.063 0.750
B1 B 0.272 0.728 0.531
B2 B 0.272 0.728 0.969
B3 B 0.362 0.638 0.657
B4 B 0.362 0.638 0.843
B5 B 0.465 0.535 0.250
B6 B 0.466 0.534 0.625
B7 B 0.466 0.534 0.875
B8 B 0.534 0.466 0.125
B9 B 0.534 0.466 0.375
B10 B 0.535 0.465 0.750
B11 B 0.638 0.362 0.157
B12 B 0.638 0.362 0.343
B13 B 0.728 0.272 0.031
B14 B 0.728 0.272 0.469
```

The 12 most intense peaks (10 to 90 degrees two-theta), low angle first:
Position (°2θ), d/Å, I/Imax
20.9, 4.253, 44
26.1, 3.410, 72
28.3, 3.149, 90
29.0, 3.080, 61
31.8, 2.814, 78
33.1, 2.706, 58
37.8, 2.382, 100
37.9, 2.377, 51
39.0, 2.312, 34
55.0, 1.671, 35
55.7, 1.651, 33
60.7, 1.526, 33

=====

# 3
Computed powder X-ray diffraction pattern
Compound: SiGe
Radiation: Cu Kα (λ = 1.5418 Å)
Structure: a crystal structure in Alexandria, relaxed with PBE
No peak broadening, texture or thermal motion is included.

Structure:
```
data_SiGe
_space_group_name_H-M_alt 'P 1'
_space_group_IT_number 1
_cell_length_a 3.943
_cell_length_b 3.943
_cell_length_c 6.510
_cell_angle_alpha 90.00
_cell_angle_beta 90.00
_cell_angle_gamma 120.00
loop_
_space_group_symop_operation_xyz
'x,y,z'
loop_
_atom_site_label
_atom_site_type_symbol
_atom_site_fract_x
_atom_site_fract_y
_atom_site_fract_z
Si1 Si 0.333 0.667 0.058
Si2 Si 0.667 0.333 0.942
Ge1 Ge 0.333 0.667 0.432
Ge2 Ge 0.667 0.333 0.568
```

The 12 most intense peaks (10 to 90 degrees two-theta), low angle first:
Position (°2θ), d/Å, I/Imax
13.6, 6.510, 85
26.1, 3.415, 100
27.4, 3.255, 54
29.5, 3.024, 91
38.2, 2.356, 62
46.0, 1.972, 82
48.2, 1.887, 24
49.8, 1.831, 86
54.4, 1.686, 46
70.1, 1.342, 30
78.6, 1.217, 20
88.0, 1.109, 34

=====

# 4
Computed powder X-ray diffraction pattern
Compound: V2ReMo6W3
Radiation: Cu Kα (λ = 1.5418 Å)
Structure: a crystal structure in Alexandria, relaxed with PBE
No peak broadening, texture or thermal motion is included.

Structure:
```
data_V2ReMo6W3
_space_group_name_H-M_alt 'P 1'
_space_group_IT_number 1
_cell_length_a 5.212
_cell_length_b 5.212
_cell_length_c 8.871
_cell_angle_alpha 90.06
_cell_angle_beta 90.06
_cell_angle_gamma 129.55
loop_
_space_group_symop_operation_xyz
'x,y,z'
loop_
_atom_site_label
_atom_site_type_symbol
_atom_site_fract_x
_atom_site_fract_y
_atom_site_fract_z
V1 V 0.166 0.834 0.000
V2 V 0.834 0.166 0.000
Re1 Re 0.500 0.500 0.000
Mo1 Mo 0.000 0.000 0.244
Mo2 Mo 0.000 0.000 0.756
Mo3 Mo 0.333 0.667 0.244
Mo4 Mo 0.333 0.667 0.756
Mo5 Mo 0.667 0.333 0.244
Mo6 Mo 0.667 0.333 0.756
W1 W 0.166 0.834 0.500
W2 W 0.500 0.500 0.500
W3 W 0.834 0.166 0.500
```

The 12 most intense peaks (10 to 90 degrees two-theta), low angle first:
Position (°2θ), d/Å, I/Imax
20.0, 4.436, 3
21.3, 4.163, 1
24.3, 3.661, 2
30.2, 2.957, 2
36.5, 2.465, 4
40.6, 2.221, 100
58.8, 1.572, 11
58.9, 1.568, 5
73.9, 1.283, 22
74.0, 1.281, 11
87.9, 1.111, 6
88.0, 1.110, 5

=====

# 5
Computed powder X-ray diffraction pattern
Compound: Pu2Cd3Ag2
Radiation: Cu Kα (λ = 1.5418 Å)
Structure: a crystal structure in Alexandria, relaxed with PBE
No peak broadening, texture or thermal motion is included.

Structure:
```
data_Pu2Cd3Ag2
_space_group_name_H-M_alt 'P 1'
_space_group_IT_number 1
_cell_length_a 5.116
_cell_length_b 3.006
_cell_length_c 10.707
_cell_angle_alpha 90.00
_cell_angle_beta 103.68
_cell_angle_gamma 90.00
loop_
_space_group_symop_operation_xyz
'x,y,z'
loop_
_atom_site_label
_atom_site_type_symbol
_atom_site_fract_x
_atom_site_fract_y
_atom_site_fract_z
Pu1 Pu 0.143 0.000 0.286
Pu2 Pu 0.857 0.000 0.714
Cd1 Cd 0.000 0.500 0.000
Cd2 Cd 0.287 0.500 0.575
Cd3 Cd 0.713 0.500 0.425
Ag1 Ag 0.429 0.500 0.857
Ag2 Ag 0.571 0.500 0.143
```

The 12 most intense peaks (10 to 90 degrees two-theta), low angle first:
Position (°2θ), d/Å, I/Imax
17.0, 5.201, 9
21.6, 4.117, 9
34.5, 2.603, 28
34.9, 2.570, 100
35.1, 2.558, 37
37.0, 2.428, 47
50.0, 1.824, 20
53.6, 1.711, 9
60.6, 1.528, 11
62.8, 1.480, 11
64.2, 1.450, 10
72.9, 1.298, 17

=====

# 6
Computed powder X-ray diffraction pattern
Compound: YHo2ErTm2
Radiation: Cu Kα (λ = 1.5418 Å)
Structure: a crystal structure in Alexandria, relaxed with PBE
No peak broadening, texture or thermal motion is included.

Structure:
```
data_YHo2ErTm2
_space_group_name_H-M_alt 'P 1'
_space_group_IT_number 1
_cell_length_a 6.970
_cell_length_b 9.571
_cell_length_c 5.551
_cell_angle_alpha 90.00
_cell_angle_beta 90.00
_cell_angle_gamma 90.00
loop_
_space_group_symop_operation_xyz
'x,y,z'
loop_
_atom_site_label
_atom_site_type_symbol
_atom_site_fract_x
_atom_site_fract_y
_atom_site_fract_z
Y1 Y 0.000 0.000 0.000
Y2 Y 0.500 0.500 0.500
Ho1 Ho 0.249 0.333 0.000
Ho2 Ho 0.251 0.833 0.500
Ho3 Ho 0.749 0.167 0.500
Ho4 Ho 0.751 0.667 0.000
Er1 Er 0.000 0.500 0.500
Er2 Er 0.500 0.000 0.000
Tm1 Tm 0.250 0.166 0.500
Tm2 Tm 0.250 0.666 0.000
Tm3 Tm 0.750 0.334 0.000
Tm4 Tm 0.750 0.834 0.500
```

The 12 most intense peaks (10 to 90 degrees two-theta), low angle first:
Position (°2θ), d/Å, I/Imax
25.6, 3.485, 14
31.7, 2.819, 100
32.3, 2.775, 39
32.4, 2.766, 77
41.7, 2.168, 23
45.9, 1.977, 24
46.0, 1.973, 12
57.2, 1.611, 13
57.3, 1.607, 25
57.6, 1.601, 15
63.0, 1.476, 12
63.1, 1.474, 23

=====

# 7
Computed powder X-ray diffraction pattern
Compound: SrLa3Cu4O10
Radiation: Cu Kα (λ = 1.5418 Å)
Structure: a crystal structure in Alexandria, relaxed with PBE
No peak broadening, texture or thermal motion is included.

Structure:
```
data_SrLa3Cu4O10
_space_group_name_H-M_alt 'P 1'
_space_group_IT_number 1
_cell_length_a 5.484
_cell_length_b 3.911
_cell_length_c 10.602
_cell_angle_alpha 90.00
_cell_angle_beta 90.21
_cell_angle_gamma 90.00
loop_
_space_group_symop_operation_xyz
'x,y,z'
loop_
_atom_site_label
_atom_site_type_symbol
_atom_site_fract_x
_atom_site_fract_y
_atom_site_fract_z
Sr1 Sr 0.000 0.000 0.000
La1 La 0.105 0.000 0.500
La2 La 0.490 0.000 0.782
La3 La 0.602 0.000 0.272
Cu1 Cu 0.011 0.500 0.745
Cu2 Cu 0.084 0.500 0.247
Cu3 Cu 0.513 0.500 0.028
Cu4 Cu 0.588 0.500 0.532
O1 O 0.014 0.000 0.737
O2 O 0.082 0.000 0.251
O3 O 0.253 0.500 0.912
O4 O 0.296 0.500 0.635
O5 O 0.364 0.500 0.351
O6 O 0.509 0.000 0.033
O7 O 0.581 0.000 0.532
O8 O 0.732 0.500 0.847
O9 O 0.782 0.500 0.149
O10 O 0.867 0.500 0.430
```

The 12 most intense peaks (10 to 90 degrees two-theta), low angle first:
Position (°2θ), d/Å, I/Imax
32.7, 2.742, 23
32.8, 2.730, 100
33.8, 2.652, 37
38.0, 2.366, 9
41.1, 2.195, 14
46.4, 1.956, 19
47.6, 1.909, 9
47.8, 1.902, 10
57.9, 1.592, 8
58.7, 1.574, 15
59.9, 1.544, 10
77.4, 1.234, 8

=====

# 8
Computed powder X-ray diffraction pattern
Compound: CaGeSb2O8
Radiation: Cu Kα (λ = 1.5418 Å)
Structure: a crystal structure in Alexandria, relaxed with PBE
No peak broadening, texture or thermal motion is included.

Structure:
```
data_CaGeSb2O8
_space_group_name_H-M_alt 'P 1'
_space_group_IT_number 1
_cell_length_a 4.784
_cell_length_b 6.387
_cell_length_c 4.789
_cell_angle_alpha 90.00
_cell_angle_beta 94.26
_cell_angle_gamma 90.00
loop_
_space_group_symop_operation_xyz
'x,y,z'
loop_
_atom_site_label
_atom_site_type_symbol
_atom_site_fract_x
_atom_site_fract_y
_atom_site_fract_z
Ca1 Ca 0.000 0.000 0.000
Ge1 Ge 0.000 0.500 0.000
Sb1 Sb 0.500 0.257 0.500
Sb2 Sb 0.500 0.743 0.500
O1 O 0.197 0.284 0.195
O2 O 0.197 0.716 0.195
O3 O 0.302 0.500 0.696
O4 O 0.324 0.000 0.674
O5 O 0.676 0.000 0.326
O6 O 0.698 0.500 0.304
O7 O 0.803 0.284 0.805
O8 O 0.803 0.716 0.805
```

The 12 most intense peaks (10 to 90 degrees two-theta), low angle first:
Position (°2θ), d/Å, I/Imax
18.6, 4.774, 37
25.4, 3.508, 79
27.4, 3.257, 63
33.8, 2.654, 100
37.7, 2.387, 26
38.1, 2.362, 19
50.3, 1.812, 50
52.1, 1.754, 13
52.6, 1.739, 41
57.7, 1.597, 11
65.1, 1.434, 11
65.5, 1.424, 28

=====

# 9
Computed powder X-ray diffraction pattern
Compound: LaTb2SmEr2
Radiation: Cu Kα (λ = 1.5418 Å)
Structure: a crystal structure in Alexandria, relaxed with PBE
No peak broadening, texture or thermal motion is included.

Structure:
```
data_LaTb2SmEr2
_space_group_name_H-M_alt 'P 1'
_space_group_IT_number 1
_cell_length_a 6.546
_cell_length_b 18.064
_cell_length_c 3.403
_cell_angle_alpha 90.00
_cell_angle_beta 90.00
_cell_angle_gamma 90.00
loop_
_space_group_symop_operation_xyz
'x,y,z'
loop_
_atom_site_label
_atom_site_type_symbol
_atom_site_fract_x
_atom_site_fract_y
_atom_site_fract_z
La1 La 0.000 0.000 0.000
La2 La 0.500 0.500 0.500
Tb1 Tb 0.215 0.189 0.000
Tb2 Tb 0.285 0.689 0.500
Tb3 Tb 0.715 0.311 0.500
Tb4 Tb 0.785 0.811 0.000
Sm1 Sm 0.000 0.500 0.000
Sm2 Sm 0.500 0.000 0.500
Er1 Er 0.213 0.352 0.500
Er2 Er 0.287 0.852 0.000
Er3 Er 0.713 0.148 0.000
Er4 Er 0.787 0.648 0.500
```

The 12 most intense peaks (10 to 90 degrees two-theta), low angle first:
Position (°2θ), d/Å, I/Imax
26.7, 3.344, 34
29.0, 3.077, 99
29.7, 3.013, 100
30.2, 2.962, 100
31.2, 2.864, 33
32.7, 2.735, 42
33.8, 2.650, 54
35.8, 2.510, 42
41.1, 2.196, 64
42.4, 2.133, 27
54.9, 1.671, 33
62.4, 1.489, 27

=====

# 10
Computed powder X-ray diffraction pattern
Compound: La2YInH
Radiation: Cu Kα (λ = 1.5418 Å)
Structure: a crystal structure in Alexandria, relaxed with PBE
No peak broadening, texture or thermal motion is included.

Structure:
```
data_La2YInH
_space_group_name_H-M_alt 'P 1'
_space_group_IT_number 1
_cell_length_a 4.932
_cell_length_b 4.932
_cell_length_c 5.186
_cell_angle_alpha 90.00
_cell_angle_beta 90.00
_cell_angle_gamma 90.00
loop_
_space_group_symop_operation_xyz
'x,y,z'
loop_
_atom_site_label
_atom_site_type_symbol
_atom_site_fract_x
_atom_site_fract_y
_atom_site_fract_z
La1 La 0.000 0.500 0.000
La2 La 0.500 0.000 0.000
Y1 Y 0.000 0.000 0.500
In1 In 0.500 0.500 0.500
H1 H 0.000 0.000 0.000
```

The 12 most intense peaks (10 to 90 degrees two-theta), low angle first:
Position (°2θ), d/Å, I/Imax
30.9, 2.894, 100
34.6, 2.593, 19
36.4, 2.466, 32
51.1, 1.787, 24
52.5, 1.744, 11
59.7, 1.549, 15
62.2, 1.494, 26
64.4, 1.447, 12
83.5, 1.158, 11
84.4, 1.148, 6
85.6, 1.134, 5
87.6, 1.114, 5

=====

# 11
Computed powder X-ray diffraction pattern
Compound: Sm7Pt3
Radiation: Cu Kα (λ = 1.5418 Å)
Structure: a crystal structure in Alexandria, relaxed with PBE
No peak broadening, texture or thermal motion is included.

Structure:
```
data_Sm7Pt3
_space_group_name_H-M_alt 'P 1'
_space_group_IT_number 1
_cell_length_a 10.078
_cell_length_b 10.078
_cell_length_c 6.392
_cell_angle_alpha 90.00
_cell_angle_beta 90.00
_cell_angle_gamma 120.00
loop_
_space_group_symop_operation_xyz
'x,y,z'
loop_
_atom_site_label
_atom_site_type_symbol
_atom_site_fract_x
_atom_site_fract_y
_atom_site_fract_z
Sm1 Sm 0.076 0.538 0.000
Sm2 Sm 0.126 0.253 0.699
Sm3 Sm 0.126 0.874 0.699
Sm4 Sm 0.253 0.126 0.199
Sm5 Sm 0.333 0.667 0.491
Sm6 Sm 0.462 0.538 0.000
Sm7 Sm 0.462 0.924 0.000
Sm8 Sm 0.538 0.076 0.500
Sm9 Sm 0.538 0.462 0.500
Sm10 Sm 0.667 0.333 0.991
Sm11 Sm 0.747 0.874 0.699
Sm12 Sm 0.874 0.126 0.199
Sm13 Sm 0.874 0.747 0.199
Sm14 Sm 0.924 0.462 0.500
Pt1 Pt 0.190 0.379 0.255
Pt2 Pt 0.190 0.810 0.255
Pt3 Pt 0.379 0.190 0.755
Pt4 Pt 0.621 0.810 0.255
Pt5 Pt 0.810 0.190 0.755
Pt6 Pt 0.810 0.621 0.755
```

The 12 most intense peaks (10 to 90 degrees two-theta), low angle first:
Position (°2θ), d/Å, I/Imax
17.2, 5.157, 28
29.8, 3.001, 47
30.5, 2.931, 100
30.7, 2.909, 29
33.9, 2.648, 89
34.8, 2.578, 80
35.6, 2.520, 74
39.2, 2.295, 31
47.6, 1.911, 26
53.3, 1.719, 33
54.5, 1.684, 25
68.8, 1.365, 25

=====

# 12
Computed powder X-ray diffraction pattern
Compound: BeZnTe
Radiation: Cu Kα (λ = 1.5418 Å)
Structure: a crystal structure in Alexandria, relaxed with PBE
No peak broadening, texture or thermal motion is included.

Structure:
```
data_BeZnTe
_space_group_name_H-M_alt 'P 1'
_space_group_IT_number 1
_cell_length_a 3.987
_cell_length_b 3.989
_cell_length_c 6.204
_cell_angle_alpha 71.74
_cell_angle_beta 71.95
_cell_angle_gamma 60.02
loop_
_space_group_symop_operation_xyz
'x,y,z'
loop_
_atom_site_label
_atom_site_type_symbol
_atom_site_fract_x
_atom_site_fract_y
_atom_site_fract_z
Be1 Be 0.000 0.000 0.000
Zn1 Zn 0.131 0.129 0.610
Te1 Te 0.290 0.288 0.137
```

The 12 most intense peaks (10 to 90 degrees two-theta), low angle first:
Position (°2θ), d/Å, I/Imax
15.3, 5.789, 21
26.3, 3.392, 100
26.4, 3.379, 50
27.7, 3.222, 17
27.9, 3.203, 34
30.9, 2.894, 40
33.0, 2.711, 15
36.5, 2.464, 16
36.7, 2.446, 15
36.9, 2.438, 15
45.5, 1.994, 45
55.7, 1.650, 15

=====

What did the sixth record say?
Computed powder X-ray diffraction pattern
Compound: YHo2ErTm2
Radiation: Cu Kα (λ = 1.5418 Å)
Structure: a crystal structure in Alexandria, relaxed with PBE
No peak broadening, texture or thermal motion is included.

Structure:
```
data_YHo2ErTm2
_space_group_name_H-M_alt 'P 1'
_space_group_IT_number 1
_cell_length_a 6.970
_cell_length_b 9.571
_cell_length_c 5.551
_cell_angle_alpha 90.00
_cell_angle_beta 90.00
_cell_angle_gamma 90.00
loop_
_space_group_symop_operation_xyz
'x,y,z'
loop_
_atom_site_label
_atom_site_type_symbol
_atom_site_fract_x
_atom_site_fract_y
_atom_site_fract_z
Y1 Y 0.000 0.000 0.000
Y2 Y 0.500 0.500 0.500
Ho1 Ho 0.249 0.333 0.000
Ho2 Ho 0.251 0.833 0.500
Ho3 Ho 0.749 0.167 0.500
Ho4 Ho 0.751 0.667 0.000
Er1 Er 0.000 0.500 0.500
Er2 Er 0.500 0.000 0.000
Tm1 Tm 0.250 0.166 0.500
Tm2 Tm 0.250 0.666 0.000
Tm3 Tm 0.750 0.334 0.000
Tm4 Tm 0.750 0.834 0.500
```

The 12 most intense peaks (10 to 90 degrees two-theta), low angle first:
Position (°2θ), d/Å, I/Imax
25.6, 3.485, 14
31.7, 2.819, 100
32.3, 2.775, 39
32.4, 2.766, 77
41.7, 2.168, 23
45.9, 1.977, 24
46.0, 1.973, 12
57.2, 1.611, 13
57.3, 1.607, 25
57.6, 1.601, 15
63.0, 1.476, 12
63.1, 1.474, 23

=====

Repeat the seventh record exactly.
Computed powder X-ray diffraction pattern
Compound: SrLa3Cu4O10
Radiation: Cu Kα (λ = 1.5418 Å)
Structure: a crystal structure in Alexandria, relaxed with PBE
No peak broadening, texture or thermal motion is included.

Structure:
```
data_SrLa3Cu4O10
_space_group_name_H-M_alt 'P 1'
_space_group_IT_number 1
_cell_length_a 5.484
_cell_length_b 3.911
_cell_length_c 10.602
_cell_angle_alpha 90.00
_cell_angle_beta 90.21
_cell_angle_gamma 90.00
loop_
_space_group_symop_operation_xyz
'x,y,z'
loop_
_atom_site_label
_atom_site_type_symbol
_atom_site_fract_x
_atom_site_fract_y
_atom_site_fract_z
Sr1 Sr 0.000 0.000 0.000
La1 La 0.105 0.000 0.500
La2 La 0.490 0.000 0.782
La3 La 0.602 0.000 0.272
Cu1 Cu 0.011 0.500 0.745
Cu2 Cu 0.084 0.500 0.247
Cu3 Cu 0.513 0.500 0.028
Cu4 Cu 0.588 0.500 0.532
O1 O 0.014 0.000 0.737
O2 O 0.082 0.000 0.251
O3 O 0.253 0.500 0.912
O4 O 0.296 0.500 0.635
O5 O 0.364 0.500 0.351
O6 O 0.509 0.000 0.033
O7 O 0.581 0.000 0.532
O8 O 0.732 0.500 0.847
O9 O 0.782 0.500 0.149
O10 O 0.867 0.500 0.430
```

The 12 most intense peaks (10 to 90 degrees two-theta), low angle first:
Position (°2θ), d/Å, I/Imax
32.7, 2.742, 23
32.8, 2.730, 100
33.8, 2.652, 37
38.0, 2.366, 9
41.1, 2.195, 14
46.4, 1.956, 19
47.6, 1.909, 9
47.8, 1.902, 10
57.9, 1.592, 8
58.7, 1.574, 15
59.9, 1.544, 10
77.4, 1.234, 8